MnCu3Pd6: computed XRD peak list (Cu Ka), based on a GGA-PBE-relaxed structure.

Structure:
```
data_MnCu3Pd6
_cell_length_a 9.5623
_cell_length_b 9.5623
_cell_length_c 11.3235
_cell_angle_alpha 90.00
_cell_angle_beta 90.00
_cell_angle_gamma 120.00
_space_group_name_H-M_alt 'R -3'
_space_group_IT_number 148
_space_group_name_Hall '-R 3'
loop_
_atom_site_label
_atom_site_type_symbol
_atom_site_fract_x
_atom_site_fract_y
_atom_site_fract_z
Mn1 Mn 0.0000 0.0000 0.0000
Mn2 Mn 0.0000 0.0000 0.5000
Cu1 Cu 0.0383 0.5793 0.2014
Pd1 Pd 0.0449 0.8592 0.3078
Pd2 Pd 0.0607 0.4599 0.5902
```

The 10 most intense peaks (2θ from 5° to 70°), low angle first:
2theta  I (rel.)  h k l
30.2  116  1 1 3
40.1  1000  1 3 1
40.5  290  0 3 3
41.3  278  0 1 5
42.5  464  4 -1 2
43.1  588  2 1 4
44.9  100  2 2 3
45.7  212  2 0 5
50.7  104  5 -3 2
61.5  86  4 2 2


Ac6AgHg2: computed XRD peak list (Cu Ka), based on a GGA-PBE-relaxed structure.

Structure:
```
data_Ac6AgHg2
_cell_length_a 7.115
_cell_length_b 8.795
_cell_length_c 13.030
_cell_angle_alpha 90.00
_cell_angle_beta 122.04
_cell_angle_gamma 90.00
_space_group_name_H-M_alt 'P 1 21/c 1'
_space_group_IT_number 14
_space_group_name_Hall '-P 2ybc'
loop_
_atom_site_label
_atom_site_type_symbol
_atom_site_fract_x
_atom_site_fract_y
_atom_site_fract_z
Ac1 Ac 0.080 0.056 0.236
Ac2 Ac 0.204 0.709 0.068
Ac3 Ac 0.405 0.157 0.057
Ag1 Ag 0.500 0.000 0.500
Hg1 Hg 0.308 0.112 0.730
```

The 10 most intense peaks (2θ from 5° to 70°), low angle first:
2theta  I (rel.)  h k l
25.2  428  1 2 -2
25.9  428  0 2 2
27.1  1000  1 0 2
28.4  729  2 1 -3
28.7  333  1 2 1
29.0  933  1 2 -3
29.3  436  1 1 -4
33.0  396  1 3 -1
34.0  377  1 3 0
43.1  422  1 4 -1